Record 1
Diffraction record for La2NdGaI3. The PXRD pattern is theoretical, not measured: it uses a DFT-relaxed cell (GGA-PBE, OQMD) and λ = 1.5418 Å (Cu Kα).
Peak positions follow from Bragg's law for the DFT cell and can differ from measured ones.

Atomic structure:
abc: 6.3497 6.3497 6.3459
angles: 90.00 90.00 90.00
Space group P4/mmm (No. 123)
Asymmetric unit:
La (0.0000, 0.5000, 0.0000) x2
Nd (0.0000, 0.0000, 0.5000) x1
Ga (0.0000, 0.0000, 0.0000) x1
I (0.0000, 0.5000, 0.5000) x2
I (0.5000, 0.5000, 0.0000) x1

Most intense lines, 2θ = 15–90°, low angle first:
2theta	Rel. int.
19.8	23
28.1	100
40.2	76
49.8	27
65.8	35
73.0	26



Record 2
Diffraction record for LaNdGa2I2. The PXRD pattern is theoretical, not measured: it uses a DFT-relaxed cell (GGA-PBE, OQMD) and λ = 1.5418 Å (Cu Kα).
Peak positions follow from Bragg's law for the DFT cell and can differ from measured ones.

Atomic structure:
abc: 4.3390 4.3390 12.5134
angles: 90.00 90.00 120.00
Space group P3m1 (No. 156)
Asymmetric unit:
La (0.0000, 0.0000, 0.0000) x1
Nd (0.0000, 0.0000, 0.6606) x1
Ga (0.3333, 0.6667, 0.8521) x1
Ga (0.6667, 0.3333, 0.8028) x1
I (0.3333, 0.6667, 0.4976) x1
I (0.6667, 0.3333, 0.1704) x1

Most intense lines, 2θ = 15–90°, low angle first:
2theta	Rel. int.
24.7	38
27.7	52
32.1	100
41.6	50
43.4	33
61.7	32